Diffraction record for VRhO4. The X-ray diffraction stick pattern is theoretical, not measured: it uses a structure optimized by DFT (PBE+U) and a wavelength of 1.5418 Å.

Main lines, in order of rising 2θ (2θ from 10° to 90°):
2theta	I (rel.)
19.38	24
27.54	100
35.55	67
40.78	16
54.06	62
68.88	20

Structural model:
```
VRhO4
1.0
3.2357 -3.2419 0.0000
3.2357 3.2419 0.0000
0.0000 0.0000 3.0269
V Rh O
1 1 4
direct
0.0000 0.0000 0.0000
0.5000 0.5000 0.5000
0.1907 0.1907 0.5000
0.2990 0.7010 0.0000
0.7010 0.2990 0.0000
0.8093 0.8093 0.5000
```